This entry pairs a crystal structure of NbHgO3 with its calculated powder diffraction line list. Radiation: Cu Kα X-rays. Structure: a PBE-relaxed structure.
Neutral-atom scattering factors, no anomalous dispersion.

Principal peaks in the range 10° ≤ 2θ ≤ 90°, in order of rising 2θ:
- 2θ 31.10, 2.876 Å, I 26
- 2θ 31.38, 2.851 Å, I 100
- 2θ 31.62, 2.829 Å, I 24
- 2θ 44.96, 2.016 Å, I 42
- 2θ 55.51, 1.656 Å, I 21
- 2θ 56.17, 1.638 Å, I 20
- 2θ 65.47, 1.426 Å, I 17
- 2θ 74.40, 1.275 Å, I 18

Crystal structure
a = 5.752 Å, b = 8.061 Å, c = 5.658 Å
α = 90.00°, β = 90.00°, γ = 90.00°
Sites, in units of the cell vectors:
Nb (0.000, 0.000, 0.000)
Nb (0.000, 0.500, 0.000)
Nb (0.500, 0.000, 0.500)
Nb (0.500, 0.500, 0.500)
Hg (0.000, 0.250, 0.499)
Hg (0.000, 0.750, 0.501)
Hg (0.500, 0.250, 0.001)
Hg (0.500, 0.750, 0.999)
O (0.000, 0.250, 0.986)
O (0.000, 0.750, 0.014)
O (0.246, 0.007, 0.254)
O (0.246, 0.493, 0.254)
O (0.254, 0.507, 0.754)
O (0.254, 0.993, 0.754)
O (0.500, 0.250, 0.514)
O (0.500, 0.750, 0.486)
O (0.746, 0.007, 0.246)
O (0.746, 0.493, 0.246)
O (0.754, 0.507, 0.746)
O (0.754, 0.993, 0.746)

This entry pairs a crystal structure of Nd4TlIn with its calculated powder diffraction line list. Radiation: Cu Kα X-rays. Structure: a PBE-relaxed structure.
Neutral-atom scattering factors, no anomalous dispersion.

Principal peaks in the range 10° ≤ 2θ ≤ 90°, in order of rising 2θ:
- 2θ 31.61, 2.830 Å, I 45
- 2θ 31.74, 2.819 Å, I 97
- 2θ 32.10, 2.788 Å, I 100
- 2θ 32.48, 2.757 Å, I 53
- 2θ 45.96, 1.975 Å, I 32
- 2θ 57.48, 1.603 Å, I 19
- 2θ 57.71, 1.598 Å, I 19
- 2θ 62.88, 1.478 Å, I 28

Crystal structure
a = 5.513 Å, b = 6.973 Å, c = 9.695 Å
α = 90.00°, β = 90.05°, γ = 90.00°
Sites, in units of the cell vectors:
Nd (0.250, 0.010, 0.226)
Nd (0.250, 0.250, 0.903)
Nd (0.250, 0.490, 0.226)
Nd (0.250, 0.750, 0.577)
Nd (0.750, 0.250, 0.423)
Nd (0.750, 0.510, 0.774)
Nd (0.750, 0.750, 0.097)
Nd (0.750, 0.990, 0.774)
Tl (0.250, 0.250, 0.579)
Tl (0.750, 0.750, 0.421)
In (0.250, 0.750, 0.913)
In (0.750, 0.250, 0.087)

This entry pairs a crystal structure of TmLuTlC with its calculated powder diffraction line list. Radiation: Cu Kα X-rays. Structure: a PBE-relaxed structure.
Neutral-atom scattering factors, no anomalous dispersion.

Principal peaks in the range 10° ≤ 2θ ≤ 90°, in order of rising 2θ:
- 2θ 29.10, 3.069 Å, I 18
- 2θ 33.71, 2.659 Å, I 100
- 2θ 45.09, 2.011 Å, I 13
- 2θ 51.59, 1.772 Å, I 17
- 2θ 60.26, 1.536 Å, I 18
- 2θ 63.04, 1.475 Å, I 32
- 2θ 83.26, 1.160 Å, I 8
- 2θ 85.73, 1.133 Å, I 12

Crystal structure
a = 3.543 Å, b = 3.543 Å, c = 15.969 Å
α = 90.00°, β = 90.00°, γ = 120.00°
Sites, in units of the cell vectors:
Tm (0.333, 0.667, 0.417)
Tm (0.667, 0.333, 0.583)
Lu (0.333, 0.667, 0.082)
Lu (0.667, 0.333, 0.918)
Tl (0.333, 0.667, 0.751)
Tl (0.667, 0.333, 0.249)
C (0.000, 0.000, 0.000)
C (0.000, 0.000, 0.500)

This entry pairs a crystal structure of Nd2Cu2SiGe with its calculated powder diffraction line list. Radiation: Cu Kα X-rays. Structure: a PBE-relaxed structure.
Neutral-atom scattering factors, no anomalous dispersion.

Principal peaks in the range 10° ≤ 2θ ≤ 90°, in order of rising 2θ:
- 2θ 24.25, 3.671 Å, I 19
- 2θ 33.25, 2.695 Å, I 100
- 2θ 42.66, 2.119 Å, I 41
- 2θ 45.73, 1.984 Å, I 11
- 2θ 55.13, 1.666 Å, I 23
- 2θ 64.31, 1.448 Å, I 24
- 2θ 72.12, 1.310 Å, I 21
- 2θ 76.56, 1.244 Å, I 9

Crystal structure
a = 4.239 Å, b = 4.239 Å, c = 7.936 Å
α = 90.00°, β = 90.00°, γ = 120.00°
Sites, in units of the cell vectors:
Nd (0.000, 0.000, 0.250)
Nd (0.000, 0.000, 0.750)
Cu (0.333, 0.667, 0.000)
Cu (0.667, 0.333, 0.500)
Si (0.667, 0.333, 0.000)
Ge (0.333, 0.667, 0.500)

This entry pairs a crystal structure of Y2Ga5Cu3 with its calculated powder diffraction line list. Radiation: Cu Kα X-rays. Structure: a PBE-relaxed structure.
Neutral-atom scattering factors, no anomalous dispersion.

Principal peaks in the range 10° ≤ 2θ ≤ 90°, in order of rising 2θ:
- 2θ 33.95, 2.640 Å, I 46
- 2θ 35.43, 2.534 Å, I 100
- 2θ 44.05, 2.056 Å, I 57
- 2θ 47.02, 1.932 Å, I 12
- 2θ 47.09, 1.930 Å, I 11
- 2θ 49.35, 1.847 Å, I 26
- 2θ 68.27, 1.374 Å, I 18
- 2θ 89.63, 1.094 Å, I 11

Crystal structure
a = 8.300 Å, b = 8.300 Å, c = 8.300 Å
α = 103.00°, β = 91.22°, γ = 138.93°
Sites, in units of the cell vectors:
Y (0.129, 0.243, 0.372)
Y (0.371, 0.743, 0.114)
Y (0.629, 0.257, 0.886)
Y (0.871, 0.757, 0.628)
Ga (0.009, 0.750, 0.259)
Ga (0.111, 0.648, 0.759)
Ga (0.250, 0.250, 0.000)
Ga (0.389, 0.148, 0.537)
Ga (0.491, 0.750, 0.741)
Ga (0.509, 0.250, 0.259)
Ga (0.611, 0.852, 0.463)
Ga (0.750, 0.750, 0.000)
Ga (0.889, 0.352, 0.241)
Ga (0.991, 0.250, 0.741)
Cu (0.130, 0.875, 0.005)
Cu (0.250, 0.750, 0.500)
Cu (0.370, 0.375, 0.745)
Cu (0.630, 0.625, 0.255)
Cu (0.750, 0.250, 0.500)
Cu (0.870, 0.125, 0.995)

This entry pairs a crystal structure of Ba2TcPbSe6 with its calculated powder diffraction line list. Radiation: Cu Kα X-rays. Structure: a PBE-relaxed structure.
Neutral-atom scattering factors, no anomalous dispersion.

Principal peaks in the range 10° ≤ 2θ ≤ 90°, in order of rising 2θ:
- 2θ 22.97, 3.872 Å, I 59
- 2θ 24.88, 3.579 Å, I 57
- 2θ 27.94, 3.193 Å, I 42
- 2θ 34.11, 2.628 Å, I 100
- 2θ 40.34, 2.236 Å, I 38
- 2θ 41.52, 2.175 Å, I 48
- 2θ 46.93, 1.936 Å, I 23
- 2θ 51.03, 1.790 Å, I 23

Crystal structure
a = 7.200 Å, b = 7.200 Å, c = 7.200 Å
α = 65.08°, β = 65.08°, γ = 65.08°
Sites, in units of the cell vectors:
Ba (0.000, 0.000, 0.000)
Ba (0.496, 0.496, 0.496)
Tc (0.266, 0.266, 0.266)
Pb (0.767, 0.767, 0.767)
Se (0.011, 0.405, 0.554)
Se (0.099, 0.935, 0.437)
Se (0.405, 0.554, 0.011)
Se (0.437, 0.099, 0.935)
Se (0.554, 0.011, 0.405)
Se (0.935, 0.437, 0.099)